Diffraction record for Co2BiBP2O10. The XRD peak list is simulated, not measured: it uses a cell relaxed with PBE+U and Cu Kα X-rays.

Atomic structure:
Unit cell a=5.117 b=11.387 c=6.503 alpha=90.00 beta=107.89 gamma=90.00
Space group P2_1/m (No. 11)
One atom of each set of equivalent atoms:
Co 0.148 0.105 0.160 x4
Bi 0.248 0.750 0.564 x2
B 0.434 0.750 0.016 x2
P 0.298 0.064 0.714 x4
O 0.095 0.046 0.847 x4
O 0.144 0.124 0.495 x4
O 0.144 0.750 0.865 x2
O 0.380 0.250 0.115 x2
O 0.433 0.552 0.679 x4
O 0.460 0.645 0.157 x4

Most intense lines, 10 to 80 degrees two-theta, sorted by position:
| (hkl) | two_theta | intensity |
| --- | --- | --- |
| 0 2 0 | 15.6 | 22 |
| 0 1 1 | 16.3 | 43 |
| 1 1 -1 | 20.9 | 30 |
| 0 2 1 | 21.2 | 39 |
| 1 1 1 | 27.7 | 50 |
| 1 0 -2 | 29.1 | 29 |
| 1 3 0 | 29.8 | 100 |
| 1 1 -2 | 30.1 | 34 |
| 1 3 -1 | 30.6 | 25 |
| 0 2 2 | 32.9 | 26 |